1.
Structure and computed powder diffraction line list of Nd8P3CI4 (a GGA-PBE-relaxed structure; Cu Kα (weighted mean of Kα1 and Kα2)).

Principal peaks in the range 10° ≤ 2θ ≤ 90°, in order of rising 2θ:
2θ 25.04, I 18, hkl 0 2 1; 2θ 29.21, I 100, hkl 0 2 4; 2θ 31.47, I 42, hkl 2 0 5; 2θ 34.85, I 19, hkl 0 0 9; 2θ 39.96, I 21, hkl 2 0 8; 2θ 43.55, I 39, hkl 2 2 0; 2θ 53.30, I 17, hkl 4 0 4; 2θ 56.95, I 25, hkl 2 2 9; 2θ 57.73, I 13, hkl 0 2 13; 2θ 71.20, I 13, hkl 2 4 4

```
data_Nd8P3CI4
_chemical_formula_sum 'Nd24 P9 C3 I12'
_space_group_name_H-M_alt 'R -3 m'
_space_group_IT_number 166
_space_group_name_Hall '-R 3 2"'
_cell_length_a 8.3123
_cell_length_b 8.3123
_cell_length_c 23.1670
_cell_angle_alpha 90.00
_cell_angle_beta 90.00
_cell_angle_gamma 120.00
loop_
_atom_site_label
_atom_site_type_symbol
_atom_site_fract_x
_atom_site_fract_y
_atom_site_fract_z
Nd1 Nd 0.0000 0.0000 0.2291
Nd2 Nd 0.0265 0.5133 0.2273
P1 P 0.0000 0.5000 0.5000
C1 C 0.0000 0.0000 0.5000
I1 I 0.0000 0.0000 0.0000
I2 I 0.0000 0.5000 0.0000
```


2.
Structure and computed powder diffraction line list of NdThCI (a GGA-PBE-relaxed structure; Cu Kα (weighted mean of Kα1 and Kα2)).

Principal peaks in the range 10° ≤ 2θ ≤ 90°, in order of rising 2θ:
2θ 26.98, I 41, hkl 1 0 1; 2θ 27.78, I 28, hkl 0 1 2; 2θ 30.77, I 100, hkl 1 0 4; 2θ 32.86, I 98, hkl 0 1 5; 2θ 34.17, I 36, hkl 0 0 9; 2θ 47.16, I 62, hkl 1 1 0; 2θ 57.38, I 18, hkl 0 2 4; 2θ 58.67, I 19, hkl 2 0 5; 2θ 59.52, I 45, hkl 1 1 9; 2θ 78.47, I 18, hkl 1 2 5

```
data_NdThCI
_chemical_formula_sum 'Nd3 Th3 C3 I3'
_space_group_name_H-M_alt 'R 3 m'
_space_group_IT_number 160
_space_group_name_Hall 'R 3 -2"'
_cell_length_a 3.8539
_cell_length_b 3.8539
_cell_length_c 23.6152
_cell_angle_alpha 90.00
_cell_angle_beta 90.00
_cell_angle_gamma 120.00
loop_
_atom_site_label
_atom_site_type_symbol
_atom_site_fract_x
_atom_site_fract_y
_atom_site_fract_z
Nd1 Nd 0.0000 0.0000 0.0000
Th1 Th 0.0000 0.0000 0.7826
C1 C 0.0000 0.0000 0.3966
I1 I 0.0000 0.0000 0.2263
```


3.
Structure and computed powder diffraction line list of Ni2CI (a GGA-PBE-relaxed structure; Cu Kα (weighted mean of Kα1 and Kα2)).

Principal peaks in the range 10° ≤ 2θ ≤ 90°, in order of rising 2θ:
2θ 24.84, I 53, hkl 0 1 0; 2θ 25.63, I 43, hkl 1 0 -1; 2θ 27.30, I 58, hkl 0 1 1; 2θ 27.44, I 39, hkl 0 0 3; 2θ 28.08, I 100, hkl 1 0 1; 2θ 29.09, I 60, hkl 1 0 -2; 2θ 37.34, I 50, hkl -1 1 3; 2θ 39.14, I 31, hkl 1 -1 3; 2θ 45.10, I 32, hkl 1 -2 0; 2θ 45.78, I 40, hkl 2 -1 0

```
data_Ni2CI
_chemical_formula_sum 'Ni4 C2 I2'
_space_group_name_H-M_alt 'P 1'
_space_group_IT_number 1
_cell_length_a 3.990
_cell_length_b 4.030
_cell_length_c 9.853
_cell_angle_alpha 91.97
_cell_angle_beta 96.25
_cell_angle_gamma 116.70
loop_
_space_group_symop_operation_xyz
'x,y,z'
loop_
_atom_site_label
_atom_site_type_symbol
_atom_site_fract_x
_atom_site_fract_y
_atom_site_fract_z
Ni1 Ni 0.000 0.000 0.000
Ni2 Ni 0.008 0.850 0.758
Ni3 Ni 0.310 0.469 0.668
Ni4 Ni 0.694 0.220 0.832
C1 C 0.239 0.347 0.862
C2 C 0.576 0.676 0.860
I1 I 0.099 0.857 0.506
I2 I 0.585 0.089 0.165
```


4.
Structure and computed powder diffraction line list of PmC2IO6 (a GGA-PBE-relaxed structure; Cu Kα (weighted mean of Kα1 and Kα2)).

Principal peaks in the range 10° ≤ 2θ ≤ 90°, in order of rising 2θ:
2θ 18.87, I 18, hkl 0 2 0; 2θ 22.22, I 34, hkl 2 0 0; 2θ 23.22, I 46, hkl 0 2 1; 2θ 24.04, I 31, hkl 2 0 -2; 2θ 26.75, I 100, hkl 2 2 -1; 2θ 27.01, I 46, hkl 0 0 2; 2θ 37.21, I 25, hkl 2 2 1; 2θ 39.52, I 22, hkl 2 2 -3; 2θ 40.75, I 19, hkl 0 4 1; 2θ 45.51, I 18, hkl 0 2 3

```
data_PmC2IO6
_chemical_formula_sum 'Pm4 C8 I4 O24'
_space_group_name_H-M_alt 'C 1 2/c 1'
_space_group_IT_number 15
_cell_length_a 9.481
_cell_length_b 9.404
_cell_length_c 7.823
_cell_angle_alpha 90.00
_cell_angle_beta 122.46
_cell_angle_gamma 90.00
loop_
_space_group_symop_operation_xyz
'x,y,z'
'-x,-y,-z'
'-x,y,-z+1/2'
'x,-y,z+1/2'
'x+1/2,y+1/2,z'
'-x+1/2,-y+1/2,-z'
'-x+1/2,y+1/2,-z+1/2'
'x+1/2,-y+1/2,z+1/2'
loop_
_atom_site_label
_atom_site_type_symbol
_atom_site_fract_x
_atom_site_fract_y
_atom_site_fract_z
Pm1 Pm 0.000 0.072 0.250
C1 C 0.246 0.356 0.227
I1 I 0.000 0.399 0.750
O1 O 0.125 0.090 0.610
O2 O 0.153 0.261 0.225
O3 O 0.229 0.414 0.061
```